1.
For Cu3Ag5, the PBE geometry in OQMD gives the computed X-ray powder pattern in this record (Cu Ka).
Kinematic intensities with the Lorentz-polarization factor, no thermal factor.

Cell and atoms:
Lattice parameters (Å, degrees): 4.849 2.850 9.287 90.00 101.61 90.00
Space group Pm (No. 6)
One atom of each set of equivalent atoms:
Cu1 0.000 0.000 0.000
Cu2 0.006 0.500 0.514
Cu3 0.763 0.500 0.769
Ag1 0.236 0.000 0.755
Ag2 0.250 0.500 0.254
Ag3 0.514 0.500 0.006
Ag4 0.518 0.000 0.523
Ag5 0.765 0.000 0.269

Top 10 peaks for 2θ from 10° to 90°, most intense first:
39.13 deg, intensity 100.0, hkl 2 0 -2; 45.17 deg, intensity 43.4, hkl 1 1 -3; 39.63 deg, intensity 31.2, hkl 0 0 4; 46.57 deg, intensity 19.1, hkl 2 0 2; 66.53 deg, intensity 12.5, hkl 3 1 -1; 67.26 deg, intensity 11.4, hkl 1 1 5; 79.00 deg, intensity 7.7, hkl 2 2 -2; 79.25 deg, intensity 7.6, hkl 3 1 -5; 79.34 deg, intensity 7.4, hkl 0 2 4; 79.94 deg, intensity 6.9, hkl 1 1 -7

2.
For CuAg5, the PBE geometry in OQMD gives the computed X-ray powder pattern in this record (Cu Ka).
Kinematic intensities with the Lorentz-polarization factor, no thermal factor.

Cell and atoms:
Lattice parameters (Å, degrees): 14.869 2.908 4.984 90.00 109.53 90.00
Space group C2/m (No. 12)
One atom of each set of equivalent atoms:
Cu1 0.000 0.000 0.000
Ag1 0.000 0.500 0.500
Ag2 0.162 0.500 0.999
Ag3 0.165 0.000 0.495

Top 10 peaks for 2θ from 10° to 90°, most intense first:
38.06 deg, intensity 100.0, hkl 3 1 -1; 44.37 deg, intensity 63.0, hkl 3 1 1; 38.33 deg, intensity 49.1, hkl 0 0 2; 38.55 deg, intensity 47.4, hkl 6 0 0; 44.65 deg, intensity 30.8, hkl 6 0 -2; 77.84 deg, intensity 27.6, hkl 3 1 3; 64.61 deg, intensity 19.3, hkl 3 1 -3; 64.91 deg, intensity 19.1, hkl 9 1 -1; 77.16 deg, intensity 11.5, hkl 0 2 2; 77.30 deg, intensity 11.4, hkl 6 2 0

3.
For Cu13Ag7, the PBE geometry in OQMD gives the computed X-ray powder pattern in this record (Cu Ka).
Kinematic intensities with the Lorentz-polarization factor, no thermal factor.

Cell and atoms:
Lattice parameters (Å, degrees): 4.664 7.123 8.544 83.12 79.35 89.68
Space group P1 (No. 1)
One atom of each set of equivalent atoms:
Cu1 0.000 0.000 0.000
Cu2 0.029 0.466 0.365
Cu3 0.098 0.912 0.716
Cu4 0.244 0.249 0.755
Cu5 0.285 0.720 0.100
Cu6 0.333 0.160 0.462
Cu7 0.388 0.622 0.811
Cu8 0.443 0.044 0.147
Cu9 0.491 0.508 0.520
Cu10 0.535 0.948 0.858
Cu11 0.628 0.853 0.567
Cu12 0.754 0.758 0.250
Cu13 0.828 0.677 0.961
Ag1 0.133 0.372 0.053
Ag2 0.209 0.808 0.405
Ag3 0.569 0.421 0.222
Ag4 0.683 0.298 0.910
Ag5 0.788 0.198 0.605
Ag6 0.882 0.101 0.299
Ag7 0.944 0.565 0.667

Top 10 peaks for 2θ from 10° to 90°, most intense first:
41.07 deg, intensity 100.0, hkl 2 -1 1; 40.95 deg, intensity 99.8, hkl 1 0 -3; 47.65 deg, intensity 63.7, hkl 2 2 0; 69.69 deg, intensity 35.6, hkl 3 1 4; 47.86 deg, intensity 30.0, hkl -1 3 2; 69.98 deg, intensity 17.7, hkl -3 1 2; 84.19 deg, intensity 15.9, hkl 3 2 -3; 84.02 deg, intensity 15.6, hkl 3 4 3; 84.27 deg, intensity 15.5, hkl 4 1 1; 84.42 deg, intensity 5.0, hkl -2 3 5

4.
For Cu13Ag7, the PBE geometry in OQMD gives the computed X-ray powder pattern in this record (Cu Ka).
Kinematic intensities with the Lorentz-polarization factor, no thermal factor.

Cell and atoms:
Lattice parameters (Å, degrees): 5.487 5.903 9.398 96.07 105.91 103.18
Space group P1 (No. 1)
One atom of each set of equivalent atoms:
Cu1 0.000 0.000 0.000
Cu2 0.001 0.022 0.529
Cu3 0.094 0.614 0.912
Cu4 0.192 0.217 0.814
Cu5 0.299 0.807 0.196
Cu6 0.507 0.009 0.010
Cu7 0.542 0.017 0.529
Cu8 0.621 0.611 0.911
Cu9 0.628 0.637 0.428
Cu10 0.728 0.216 0.824
Cu11 0.817 0.819 0.719
Cu12 0.900 0.397 0.099
Cu13 0.914 0.417 0.626
Ag1 0.128 0.637 0.416
Ag2 0.211 0.201 0.318
Ag3 0.317 0.829 0.725
Ag4 0.391 0.403 0.100
Ag5 0.422 0.405 0.624
Ag6 0.712 0.221 0.322
Ag7 0.798 0.802 0.203

Top 10 peaks for 2θ from 10° to 90°, most intense first:
40.84 deg, intensity 100.0, hkl 2 -2 0; 40.89 deg, intensity 34.0, hkl 2 1 -2; 46.29 deg, intensity 22.1, hkl 2 0 2; 47.29 deg, intensity 21.3, hkl -2 1 4; 48.99 deg, intensity 19.5, hkl 0 3 -2; 83.55 deg, intensity 10.4, hkl 4 0 -6; 82.09 deg, intensity 7.1, hkl 4 -2 2; 86.10 deg, intensity 6.6, hkl 2 4 -4; 86.00 deg, intensity 6.5, hkl 2 -5 2; 68.40 deg, intensity 6.5, hkl -4 1 2

5.
For Cu3Ag2, the PBE geometry in OQMD gives the computed X-ray powder pattern in this record (Cu Ka).
Kinematic intensities with the Lorentz-polarization factor, no thermal factor.

Cell and atoms:
Lattice parameters (Å, degrees): 10.771 2.820 9.459 90.00 95.44 90.00
Space group Cm (No. 8)
One atom of each set of equivalent atoms:
Cu1 0.000 0.000 0.000
Cu2 0.020 0.500 0.548
Cu3 0.087 0.500 0.813
Cu4 0.175 0.500 0.107
Cu5 0.203 0.000 0.638
Cu6 0.404 0.500 0.718
Ag1 0.099 0.000 0.327
Ag2 0.291 0.000 0.912
Ag3 0.317 0.500 0.442
Ag4 0.385 0.000 0.199

Top 10 peaks for 2θ from 10° to 90°, most intense first:
41.34 deg, intensity 100.0, hkl 3 1 -1; 44.53 deg, intensity 71.0, hkl 1 1 3; 40.36 deg, intensity 50.7, hkl 2 0 -4; 40.26 deg, intensity 42.5, hkl 4 0 2; 53.06 deg, intensity 25.0, hkl 6 0 -2; 80.52 deg, intensity 23.0, hkl 2 2 -4; 71.78 deg, intensity 16.7, hkl 5 1 -5; 71.64 deg, intensity 12.0, hkl 7 1 1; 66.28 deg, intensity 11.6, hkl 0 2 0; 89.81 deg, intensity 10.8, hkl 6 2 -2

6.
For CuAg5, the PBE geometry in OQMD gives the computed X-ray powder pattern in this record (Cu Ka).
Kinematic intensities with the Lorentz-polarization factor, no thermal factor.

Cell and atoms:
Lattice parameters (Å, degrees): 5.003 2.904 7.027 90.00 90.41 90.00
Space group P2/m (No. 10)
One atom of each set of equivalent atoms:
Cu1 0.000 0.000 0.000
Ag1 0.162 0.500 0.322
Ag2 0.330 0.000 0.668
Ag3 0.500 0.500 0.000

Top 10 peaks for 2θ from 10° to 90°, most intense first:
38.09 deg, intensity 100.0, hkl 2 0 -1; 44.25 deg, intensity 42.5, hkl 1 1 -2; 38.43 deg, intensity 31.8, hkl 0 0 3; 44.62 deg, intensity 20.5, hkl 2 0 2; 77.79 deg, intensity 14.4, hkl 3 1 3; 64.43 deg, intensity 13.0, hkl 3 1 0; 64.88 deg, intensity 12.3, hkl 1 1 4; 81.49 deg, intensity 9.9, hkl 4 0 -2; 77.10 deg, intensity 7.7, hkl 2 2 -1; 77.33 deg, intensity 7.6, hkl 3 1 -3

7.
For Cu3Ag2, the PBE geometry in OQMD gives the computed X-ray powder pattern in this record (Cu Ka).
Kinematic intensities with the Lorentz-polarization factor, no thermal factor.

Cell and atoms:
Lattice parameters (Å, degrees): 17.894 2.831 5.719 90.00 99.04 90.00
Space group Cm (No. 8)
One atom of each set of equivalent atoms:
Cu1 0.000 0.000 0.000
Cu2 0.007 0.000 0.547
Cu3 0.099 0.500 0.834
Cu4 0.202 0.000 0.113
Cu5 0.415 0.000 0.718
Cu6 0.424 0.000 0.243
Ag1 0.096 0.500 0.306
Ag2 0.201 0.000 0.637
Ag3 0.312 0.500 0.420
Ag4 0.318 0.500 0.939

Top 10 peaks for 2θ from 10° to 90°, most intense first:
40.84 deg, intensity 100.0, hkl 5 1 0; 45.07 deg, intensity 72.2, hkl 1 1 -2; 40.64 deg, intensity 46.6, hkl 6 0 -2; 40.53 deg, intensity 44.9, hkl 4 0 2; 80.44 deg, intensity 22.1, hkl 6 2 -2; 51.73 deg, intensity 17.7, hkl 10 0 0; 71.07 deg, intensity 13.1, hkl 11 1 -2; 70.92 deg, intensity 11.8, hkl 9 1 2; 80.00 deg, intensity 11.7, hkl 7 1 -4; 66.01 deg, intensity 11.0, hkl 0 2 0

8.
For Cu3Ag2, the PBE geometry in OQMD gives the computed X-ray powder pattern in this record (Cu Ka).
Kinematic intensities with the Lorentz-polarization factor, no thermal factor.

Cell and atoms:
Lattice parameters (Å, degrees): 2.767 2.767 18.588 90.00 90.00 90.00
Space group P4mm (No. 99)
One atom of each set of equivalent atoms:
Cu1 0.000 0.000 0.000
Cu2 0.000 0.000 0.171
Cu3 0.000 0.000 0.620
Cu4 0.000 0.000 0.828
Cu5 0.500 0.500 0.086
Cu6 0.500 0.500 0.914
Ag1 0.000 0.000 0.396
Ag2 0.500 0.500 0.276
Ag3 0.500 0.500 0.516
Ag4 0.500 0.500 0.724

Top 10 peaks for 2θ from 10° to 90°, most intense first:
40.65 deg, intensity 100.0, hkl 1 0 5; 46.41 deg, intensity 49.0, hkl 1 1 0; 37.84 deg, intensity 32.4, hkl 1 0 4; 43.85 deg, intensity 23.8, hkl 0 0 9; 82.09 deg, intensity 23.0, hkl 2 1 5; 67.73 deg, intensity 14.7, hkl 2 0 0; 65.74 deg, intensity 12.1, hkl 1 1 9; 84.25 deg, intensity 9.3, hkl 2 0 9; 80.29 deg, intensity 6.7, hkl 2 1 4; 74.14 deg, intensity 5.7, hkl 1 1 11

9.
For Cu5Ag3, the PBE geometry in OQMD gives the computed X-ray powder pattern in this record (Cu Ka).
Kinematic intensities with the Lorentz-polarization factor, no thermal factor.

Cell and atoms:
Lattice parameters (Å, degrees): 2.804 3.408 11.865 90.00 90.00 90.00
Space group Pmmm (No. 47)
One atom of each set of equivalent atoms:
Cu1 0.000 0.000 0.000
Cu2 0.000 0.000 0.214
Cu3 0.500 0.500 0.108
Ag1 0.000 0.000 0.500
Ag2 0.500 0.500 0.345

Top 10 peaks for 2θ from 10° to 90°, most intense first:
41.71 deg, intensity 100.0, hkl 1 1 0; 40.31 deg, intensity 73.8, hkl 0 1 4; 44.46 deg, intensity 55.1, hkl 1 0 4; 34.75 deg, intensity 29.6, hkl 0 1 3; 72.28 deg, intensity 23.6, hkl 1 2 4; 53.80 deg, intensity 22.7, hkl 0 2 0; 39.39 deg, intensity 20.7, hkl 1 0 3; 80.91 deg, intensity 17.2, hkl 2 1 4; 66.71 deg, intensity 11.3, hkl 2 0 0; 70.56 deg, intensity 11.3, hkl 1 1 7

10.
For CuAg9, the PBE geometry in OQMD gives the computed X-ray powder pattern in this record (Cu Ka).
Kinematic intensities with the Lorentz-polarization factor, no thermal factor.

Cell and atoms:
Lattice parameters (Å, degrees): 5.032 2.918 11.948 90.00 97.91 90.00
Space group P2/m (No. 10)
One atom of each set of equivalent atoms:
Cu1 0.000 0.000 0.000
Ag1 0.099 0.500 0.809
Ag2 0.200 0.000 0.603
Ag3 0.299 0.500 0.399
Ag4 0.395 0.000 0.196
Ag5 0.500 0.500 0.000

Top 10 peaks for 2θ from 10° to 90°, most intense first:
37.87 deg, intensity 100.0, hkl 2 0 1; 43.99 deg, intensity 42.7, hkl 1 1 3; 38.02 deg, intensity 32.3, hkl 0 0 5; 44.18 deg, intensity 20.9, hkl 2 0 -4; 64.06 deg, intensity 19.5, hkl 3 1 -1; 77.03 deg, intensity 18.4, hkl 4 0 -3; 76.71 deg, intensity 15.3, hkl 2 2 1; 64.18 deg, intensity 12.6, hkl 1 1 -7; 76.86 deg, intensity 7.5, hkl 3 1 4; 80.87 deg, intensity 6.7, hkl 2 2 -4

11.
For Cu3Ag7, the PBE geometry in OQMD gives the computed X-ray powder pattern in this record (Cu Ka).
Kinematic intensities with the Lorentz-polarization factor, no thermal factor.

Cell and atoms:
Lattice parameters (Å, degrees): 4.889 14.263 4.889 90.00 108.62 90.00
Space group C2 (No. 5)
One atom of each set of equivalent atoms:
Cu1 0.000 0.000 0.000
Cu2 0.000 0.093 0.500
Cu3 0.000 0.500 0.500
Ag1 0.000 0.190 0.000
Ag2 0.000 0.297 0.500
Ag3 0.000 0.401 0.000
Ag4 0.000 0.592 0.000
Ag5 0.000 0.691 0.500
Ag6 0.000 0.800 0.000
Ag7 0.000 0.908 0.500

Top 10 peaks for 2θ from 10° to 90°, most intense first:
38.88 deg, intensity 100.0, hkl 2 0 0; 44.94 deg, intensity 32.0, hkl 1 5 1; 78.81 deg, intensity 21.6, hkl 3 5 1; 66.03 deg, intensity 19.0, hkl 3 5 -1; 45.70 deg, intensity 15.7, hkl 2 0 -2; 79.90 deg, intensity 11.1, hkl 4 0 -2; 83.45 deg, intensity 9.5, hkl 4 0 0; 65.44 deg, intensity 9.5, hkl 2 0 2; 29.31 deg, intensity 3.6, hkl 1 3 -1; 36.75 deg, intensity 1.9, hkl 1 3 1

12.
For Cu3Ag2, the PBE geometry in OQMD gives the computed X-ray powder pattern in this record (Cu Ka).
Kinematic intensities with the Lorentz-polarization factor, no thermal factor.

Cell and atoms:
Lattice parameters (Å, degrees): 9.123 2.809 11.279 90.00 98.37 90.00
Space group Cm (No. 8)
One atom of each set of equivalent atoms:
Cu1 0.000 0.000 0.000
Cu2 0.014 0.500 0.462
Cu3 0.112 0.500 0.166
Cu4 0.192 0.500 0.911
Cu5 0.309 0.000 0.087
Cu6 0.427 0.500 0.264
Ag1 0.104 0.000 0.688
Ag2 0.219 0.000 0.358
Ag3 0.315 0.500 0.573
Ag4 0.395 0.000 0.807

Top 10 peaks for 2θ from 10° to 90°, most intense first:
40.61 deg, intensity 100.0, hkl 1 1 -3; 45.72 deg, intensity 82.5, hkl 3 1 1; 40.41 deg, intensity 53.6, hkl 2 0 4; 40.90 deg, intensity 45.8, hkl 4 0 -2; 80.83 deg, intensity 25.5, hkl 5 1 5; 36.54 deg, intensity 16.7, hkl 1 1 -2; 42.49 deg, intensity 15.1, hkl 2 0 -5; 50.26 deg, intensity 15.1, hkl 2 0 -6; 66.59 deg, intensity 12.5, hkl 0 2 0; 66.71 deg, intensity 12.1, hkl 6 0 2

Please write out number 6 again, unchanged.
For CuAg5, the PBE geometry in OQMD gives the computed X-ray powder pattern in this record (Cu Ka).
Kinematic intensities with the Lorentz-polarization factor, no thermal factor.

Cell and atoms:
Lattice parameters (Å, degrees): 5.003 2.904 7.027 90.00 90.41 90.00
Space group P2/m (No. 10)
One atom of each set of equivalent atoms:
Cu1 0.000 0.000 0.000
Ag1 0.162 0.500 0.322
Ag2 0.330 0.000 0.668
Ag3 0.500 0.500 0.000

Top 10 peaks for 2θ from 10° to 90°, most intense first:
38.09 deg, intensity 100.0, hkl 2 0 -1; 44.25 deg, intensity 42.5, hkl 1 1 -2; 38.43 deg, intensity 31.8, hkl 0 0 3; 44.62 deg, intensity 20.5, hkl 2 0 2; 77.79 deg, intensity 14.4, hkl 3 1 3; 64.43 deg, intensity 13.0, hkl 3 1 0; 64.88 deg, intensity 12.3, hkl 1 1 4; 81.49 deg, intensity 9.9, hkl 4 0 -2; 77.10 deg, intensity 7.7, hkl 2 2 -1; 77.33 deg, intensity 7.6, hkl 3 1 -3